Starting from a cell relaxed with PBE, the powder diffractogram of Sm5Dy6Tm2 was simulated for a wavelength of 1.5418 Å.
Kinematic intensities with the Lorentz-polarization factor, no thermal factor.

Principal peaks in the range 2θ = 10–90°, in order of falling intensity:
2θ/deg, I (rel.), index
32.20, 100.0, 2 3 1
31.13, 67.3, 4 1 0
31.60, 65.4, 1 7 0
31.49, 59.4, 1 4 1
34.28, 38.1, 2 4 1
36.67, 37.0, 3 3 1

Structure:
Cell: 11.608 20.435 3.578 Å, 90.00 90.00 90.00°
Space group Pbam (No. 55)
Symmetry-distinct sites (fractional):
Sm: 0.000 0.000 0.000 (multiplicity 2)
Sm: 0.085 0.272 0.000 (multiplicity 4)
Sm: 0.198 0.551 0.000 (multiplicity 4)
Dy: 0.061 0.419 0.500 (multiplicity 4)
Dy: 0.081 0.131 0.500 (multiplicity 4)
Dy: 0.174 0.861 0.000 (multiplicity 4)
Tm: 0.171 0.710 0.500 (multiplicity 4)